[1]
Ho2LuCu4Si4: computed XRD peak list (Cu Kα (λ = 1.5418 Å)), based on a cell relaxed with PBE.
Lines closer than 0.1° are merged.

Most intense lines, 2θ = 10–90°, by angle:
two_theta  d (Å)  intensity  hkl
22.61  3.932  18  1 0 1
23.98  3.710  23  0 1 3
28.90  3.090  20  1 1 2
35.90  2.502  100  1 2 1
37.05  2.426  81  1 1 4
39.83  2.263  17  0 0 6
44.08  2.054  27  2 0 0
46.58  1.950  28  0 3 3
59.98  1.542  14  1 2 7
66.04  1.415  26  2 3 3

Structural model:
a = 4.108 Å, b = 6.482 Å, c = 13.575 Å
α = 90.00°, β = 90.00°, γ = 90.00°
Space group Immm (No. 71)
Asymmetric unit:
1 Ho 0.000 0.000 0.129 x4
2 Lu 0.000 0.500 0.000 x2
3 Cu 0.000 0.191 0.331 x8
4 Si 0.000 0.313 0.500 x4
5 Si 0.000 0.500 0.215 x4

---

[2]
HoMgCuTe2S: computed XRD peak list (Cu Kα (λ = 1.5418 Å)), based on a cell relaxed with PBE.
Lines closer than 0.1° are merged.

Most intense lines, 2θ = 10–90°, by angle:
two_theta  d (Å)  intensity  hkl
13.00  6.808  35  0 2 0
17.13  5.177  34  0 0 2
28.97  3.082  60  0 2 3
29.72  3.006  71  1 3 0
34.50  2.600  100  1 3 2
34.92  2.569  32  1 1 3
37.14  2.421  31  0 2 4
43.82  2.066  25  1 5 2
45.20  2.006  26  2 0 0
48.23  1.887  22  1 5 3

Structural model:
a = 4.012 Å, b = 13.617 Å, c = 10.355 Å
α = 90.00°, β = 90.00°, γ = 90.00°
Space group Cmcm (No. 63)
Asymmetric unit:
1 Ho 0.000 0.000 0.000 x4
2 Mg 0.000 0.280 0.250 x4
3 Cu 0.000 0.485 0.750 x4
4 Te 0.000 0.345 0.575 x8
5 S 0.000 0.084 0.750 x4

---

[3]
HoMgCuSe3: computed XRD peak list (Cu Kα (λ = 1.5418 Å)), based on a cell relaxed with PBE.
Lines closer than 0.1° are merged.

Most intense lines, 2θ = 10–90°, by angle:
two_theta  d (Å)  intensity  hkl
15.40  5.755  92  0 0 2
25.20  3.534  67  1 1 1
28.61  3.120  66  1 1 2
32.74  2.735  47  4 0 1
33.59  2.668  87  1 1 3
35.49  2.529  64  4 0 2
36.39  2.469  85  2 1 3
36.59  2.456  100  3 1 2
39.62  2.275  84  1 1 4
46.16  1.967  76  0 2 0

Structural model:
a = 11.264 Å, b = 3.933 Å, c = 11.510 Å
α = 90.00°, β = 90.00°, γ = 90.00°
Space group Pnma (No. 62)
Asymmetric unit:
1 Ho 0.026 0.250 0.190 x4
2 Mg 0.184 0.250 0.493 x4
3 Cu 0.245 0.750 0.287 x4
4 Se 0.052 0.750 0.375 x4
5 Se 0.102 0.250 0.933 x4
6 Se 0.213 0.750 0.664 x4